[1]
BaSnB12: calculated XRD peak list (Cu Kα X-rays), based on the PBE geometry in Alexandria.

Principal peaks in the range 5° ≤ 2θ ≤ 70°, by intensity:
2theta	d (Å)	I/Imax
29.8	3.000	100.0
20.9	4.243	56.3
47.9	1.897	49.3
36.7	2.449	41.8
66.1	1.414	29.4
52.9	1.732	26.1
42.6	2.121	21.7
61.9	1.500	9.9

Crystal structure
```
14
Lattice="0.0000 4.2425 4.2425 4.2425 0.0000 4.2425 4.2425 4.2425 0.0000" Properties=species:S:1:pos:R:3 pbc="T T T"
Ba 0.0000 0.0000 0.0000
Sn 4.2425 4.2425 4.2425
B 2.1213 2.1213 0.8651
B 2.1213 0.8651 2.1213
B 3.3774 2.1213 2.1213
B 0.8651 2.1213 2.1213
B 2.1213 3.3774 2.1213
B 2.1213 2.1213 3.3774
B 6.3638 6.3638 5.1077
B 6.3638 5.1077 6.3638
B 7.6199 6.3638 6.3638
B 5.1077 6.3638 6.3638
B 6.3638 7.6199 6.3638
B 6.3638 6.3638 7.6199
```

=====

[2]
Ba2SrB18: calculated XRD peak list (Cu Kα X-rays), based on the PBE geometry in Alexandria.

Principal peaks in the range 5° ≤ 2θ ≤ 70°, by intensity:
2theta	d (Å)	I/Imax
29.7	3.007	100.0
20.9	4.253	52.9
47.8	1.902	47.8
36.6	2.455	41.6
65.9	1.418	28.6
52.7	1.736	24.3
42.5	2.126	21.5
70.0	1.345	20.3
61.7	1.504	9.3
6.9	12.758	4.9

Crystal structure
```
21
Lattice="4.2531 0.0000 0.0000 0.0000 4.2531 0.0000 0.0000 0.0000 12.7578" Properties=species:S:1:pos:R:3 pbc="T T T"
Ba 0.0000 0.0000 2.1413
Ba 0.0000 0.0000 10.6165
Sr 0.0000 0.0000 6.3789
B 0.8688 2.1265 4.2856
B 0.8688 2.1265 8.4723
B 0.8708 2.1265 0.0000
B 2.1265 0.8688 4.2856
B 2.1265 0.8688 8.4723
B 2.1265 0.8708 0.0000
B 2.1265 2.1265 1.2618
B 2.1265 2.1265 3.0204
B 2.1265 2.1265 5.5284
B 2.1265 2.1265 7.2294
B 2.1265 2.1265 9.7375
B 2.1265 2.1265 11.4961
B 2.1265 3.3823 0.0000
B 2.1265 3.3843 4.2856
B 2.1265 3.3843 8.4723
B 3.3823 2.1265 0.0000
B 3.3843 2.1265 4.2856
B 3.3843 2.1265 8.4723
```

=====

[3]
BaTc2B: calculated XRD peak list (Cu Kα X-rays), based on the PBE geometry in Alexandria.

Principal peaks in the range 5° ≤ 2θ ≤ 70°, by intensity:
2theta	d (Å)	I/Imax
32.9	2.725	100.0
27.9	3.196	42.8
52.6	1.740	34.7
34.4	2.609	34.0
57.7	1.598	31.7
49.4	1.845	17.0
68.9	1.363	12.8
68.0	1.378	12.0
65.3	1.429	7.3
39.9	2.260	1.6

Crystal structure
```
8
Lattice="0.0000 4.5197 4.5197 4.5197 0.0000 4.5197 4.5197 4.5197 0.0000" Properties=species:S:1:pos:R:3 pbc="T T T"
Ba 1.1299 1.1299 1.1299
Ba 7.9094 7.9094 7.9094
Tc 4.5197 2.2598 2.2598
Tc 2.2598 4.5197 2.2598
Tc 2.2598 2.2598 4.5197
Tc 4.5197 4.5197 4.5197
B 3.3898 3.3898 3.3898
B 5.6496 5.6496 5.6496
```

=====

[4]
BaTmB12: calculated XRD peak list (Cu Kα X-rays), based on the PBE geometry in Alexandria.

Principal peaks in the range 5° ≤ 2θ ≤ 70°, by intensity:
2theta	d (Å)	I/Imax
30.3	2.952	100.0
21.3	4.175	65.8
48.8	1.867	49.7
37.3	2.411	41.7
67.3	1.392	28.0
53.8	1.705	27.8
43.3	2.088	21.2
63.0	1.476	10.1
10.6	8.351	2.9
23.8	3.734	1.4

Crystal structure
```
14
Lattice="4.1752 0.0000 0.0000 0.0000 4.1752 0.0000 0.0000 0.0000 8.3509" Properties=species:S:1:pos:R:3 pbc="T T T"
Ba 0.0000 0.0000 0.0000
Tm 0.0000 0.0000 4.1754
B 0.8396 2.0876 2.1498
B 0.8396 2.0876 6.2010
B 2.0876 0.8396 2.1498
B 2.0876 0.8396 6.2010
B 2.0876 2.0876 0.8744
B 2.0876 2.0876 3.3645
B 2.0876 2.0876 4.9863
B 2.0876 2.0876 7.4765
B 2.0876 3.3356 2.1498
B 2.0876 3.3356 6.2010
B 3.3356 2.0876 2.1498
B 3.3356 2.0876 6.2010
```